# 1
# ScGe2Os
Computed X-ray diffraction stick pattern, Cu Ka. Input: a cell relaxed with GGA-PBE.
Neutral-atom scattering factors, no anomalous dispersion.

Largest 6 diffraction maxima, sorted by position, 2θ = 10–90°:
- 18.92 deg, 4.690 Å, I = 42, (2 0 0)
- 20.77 deg, 4.277 Å, I = 56, (2 1 0)
- 37.17 deg, 2.419 Å, I = 68, (3 1 2)
- 39.04 deg, 2.307 Å, I = 100, (2 3 2)
- 41.06 deg, 2.198 Å, I = 83, (0 4 2)
- 49.28 deg, 1.849 Å, I = 40, (2 1 4)

Cell and atoms:
abc: 9.3807 10.4153 8.2040
angles: 90.00 90.00 90.00
Space group Pbam (No. 55)
Unique sites:
Sc  0.1649  0.1777  0.0000 x4
Sc  0.1765  0.4492  0.2408 x8
Ge  0.0360  0.6173  0.0000 x4
Ge  0.0413  0.6153  0.5000 x4
Ge  0.1337  0.8987  0.0000 x4
Ge  0.1361  0.9037  0.5000 x4
Ge  0.1593  0.1807  0.3464 x8
Os  0.0000  0.0000  0.2479 x4
Os  0.0905  0.7378  0.2493 x8


# 2
# Tb3Ge13Os4
Computed X-ray diffraction stick pattern, Cu Ka. Input: a cell relaxed with GGA-PBE.
Neutral-atom scattering factors, no anomalous dispersion.

Largest 6 diffraction maxima, sorted by position, 2θ = 10–90°:
- 19.52 deg, 4.547 Å, I = 49, (2 0 0)
- 34.15 deg, 2.625 Å, I = 52, (2 2 2)
- 35.59 deg, 2.522 Å, I = 100, (3 2 0)
- 36.98 deg, 2.431 Å, I = 38, (3 2 1)
- 39.64 deg, 2.274 Å, I = 59, (4 0 0)
- 49.07 deg, 1.856 Å, I = 52, (4 2 2)

Cell and atoms:
abc: 9.0949 9.0949 9.0949
angles: 90.00 90.00 90.00
Space group Pm-3n (No. 223)
Unique sites:
Tb  0.0000  0.2500  0.5000 x6
Ge  0.0000  0.0000  0.0000 x2
Ge  0.0000  0.2995  0.1457 x24
Os  0.2500  0.2500  0.2500 x8


# 3
# Tm3Ge13Os4
Computed X-ray diffraction stick pattern, Cu Ka. Input: a cell relaxed with GGA-PBE.
Neutral-atom scattering factors, no anomalous dispersion.

Largest 6 diffraction maxima, sorted by position, 2θ = 10–90°:
- 19.61 deg, 4.526 Å, I = 44, (2 0 0)
- 34.31 deg, 2.613 Å, I = 53, (2 2 2)
- 35.76 deg, 2.511 Å, I = 100, (3 2 0)
- 37.16 deg, 2.419 Å, I = 38, (3 2 1)
- 39.83 deg, 2.263 Å, I = 58, (4 0 0)
- 49.31 deg, 1.848 Å, I = 48, (4 2 2)

Cell and atoms:
abc: 9.0528 9.0528 9.0528
angles: 90.00 90.00 90.00
Space group Pm-3n (No. 223)
Unique sites:
Tm  0.0000  0.2500  0.5000 x6
Ge  0.0000  0.0000  0.0000 x2
Ge  0.0000  0.3007  0.1455 x24
Os  0.2500  0.2500  0.2500 x8